The following is a simulated XRD peak list of Th3Ga2. It was derived from a crystal structure in the Materials Project, relaxed with GGA-PBE, using Cu Kα.
Lines closer than 0.1° are merged.

abc: 8.0170 8.0170 4.2183
angles: 90.00 90.00 90.00
Atoms (fractional coordinates):
Th1 0.0000 0.0000 0.0000
Th2 0.1759 0.3241 0.5000
Th3 0.3241 0.8241 0.5000
Th4 0.5000 0.5000 0.0000
Th5 0.6759 0.1759 0.5000
Th6 0.8241 0.6759 0.5000
Ga1 0.1185 0.6185 0.0000
Ga2 0.3815 0.1185 0.0000
Ga3 0.6185 0.8815 0.0000
Ga4 0.8815 0.3815 0.0000

Most intense lines, 10 to 80 degrees two-theta, sorted by position:
- hkl 2 1 0, 2θ = 24.83°, I 27
- hkl 2 0 1, 2θ = 30.77°, I 84
- hkl 2 1 1, 2θ = 32.78°, I 100
- hkl 3 1 0, 2θ = 35.41°, I 55
- hkl 3 3 1, 2θ = 53.11°, I 27
- hkl 3 1 2, 2θ = 56.78°, I 29

***

The following is a simulated XRD peak list of ThGa3. It was derived from a crystal structure in the Materials Project, relaxed with GGA-PBE, using Cu Kα.
Lines closer than 0.1° are merged.

abc: 6.4708 6.4708 4.6217
angles: 90.00 90.00 120.00
Atoms (fractional coordinates):
Th1 0.3333 0.6667 0.2500
Th2 0.6667 0.3333 0.7500
Ga1 0.1433 0.2866 0.7500
Ga2 0.1433 0.8567 0.7500
Ga3 0.2866 0.1433 0.2500
Ga4 0.7134 0.8567 0.7500
Ga5 0.8567 0.1433 0.2500
Ga6 0.8567 0.7134 0.2500

Most intense lines, 10 to 80 degrees two-theta, sorted by position:
- hkl 1 0 1, 2θ = 24.97°, I 46
- hkl 1 1 0, 2θ = 27.57°, I 22
- hkl 2 0 0, 2θ = 31.94°, I 25
- hkl 2 0 1, 2θ = 37.54°, I 100
- hkl 0 0 2, 2θ = 38.98°, I 22
- hkl 2 2 2, 2θ = 71.14°, I 17

***

The following is a simulated XRD peak list of ThGa2. It was derived from a crystal structure in the Materials Project, relaxed with GGA-PBE, using Cu Kα.
Lines closer than 0.1° are merged.

abc: 4.2715 4.2715 14.7686
angles: 90.00 90.00 90.00
Atoms (fractional coordinates):
Th1 0.0000 0.2500 0.3750
Th2 0.0000 0.7500 0.6250
Th3 0.5000 0.2500 0.1250
Th4 0.5000 0.7500 0.8750
Ga1 0.0000 0.2500 0.7918
Ga2 0.0000 0.2500 0.9582
Ga3 0.0000 0.7500 0.0418
Ga4 0.0000 0.7500 0.2082
Ga5 0.5000 0.2500 0.5418
Ga6 0.5000 0.2500 0.7082
Ga7 0.5000 0.7500 0.2918
Ga8 0.5000 0.7500 0.4582

Most intense lines, 10 to 80 degrees two-theta, sorted by position:
- hkl 1 0 3, 2θ = 27.65°, I 41
- hkl 1 1 2, 2θ = 32.01°, I 100
- hkl 1 0 5, 2θ = 37.00°, I 47
- hkl 2 0 0, 2θ = 42.32°, I 37
- hkl 1 0 7, 2θ = 48.09°, I 26
- hkl 2 1 5, 2θ = 57.45°, I 27

***

The following is a simulated XRD peak list of Th2Ga. It was derived from a crystal structure in the Materials Project, relaxed with GGA-PBE, using Cu Kα.
Lines closer than 0.1° are merged.

abc: 7.5264 7.5264 5.8917
angles: 90.00 90.00 90.00
Atoms (fractional coordinates):
Th1 0.1585 0.3415 0.0000
Th2 0.1585 0.6585 0.5000
Th3 0.3415 0.1585 0.5000
Th4 0.3415 0.8415 0.0000
Th5 0.6585 0.1585 0.0000
Th6 0.6585 0.8415 0.5000
Th7 0.8415 0.3415 0.5000
Th8 0.8415 0.6585 0.0000
Ga1 0.0000 0.0000 0.2500
Ga2 0.0000 0.0000 0.7500
Ga3 0.5000 0.5000 0.2500
Ga4 0.5000 0.5000 0.7500

Most intense lines, 10 to 80 degrees two-theta, sorted by position:
- hkl 0 0 2, 2θ = 30.34°, I 15
- hkl 2 1 1, 2θ = 30.59°, I 100
- hkl 3 1 0, 2θ = 37.80°, I 24
- hkl 4 1 1, 2θ = 52.48°, I 15
- hkl 2 1 3, 2θ = 54.06°, I 21
- hkl 3 3 2, 2θ = 60.97°, I 16

***

The following is a simulated XRD peak list of ThGa2. It was derived from a crystal structure in the Materials Project, relaxed with GGA-PBE, using Cu Kα.
Lines closer than 0.1° are merged.

abc: 4.2812 4.2812 4.2443
angles: 90.00 90.00 120.00
Atoms (fractional coordinates):
Th1 0.0000 0.0000 0.0000
Ga1 0.3333 0.6667 0.5000
Ga2 0.6667 0.3333 0.5000

Most intense lines, 10 to 80 degrees two-theta, sorted by position:
- hkl 1 0 0, 2θ = 24.00°, I 26
- hkl 1 0 1, 2θ = 32.05°, I 100
- hkl 1 1 0, 2θ = 42.22°, I 37
- hkl 2 0 1, 2θ = 53.97°, I 23
- hkl 1 1 2, 2θ = 61.53°, I 24
- hkl 2 1 1, 2θ = 70.81°, I 21